Diffraction record for MgTiSN2. The powder X-ray diffraction pattern is calculated, not measured: it uses DFT lattice parameters and positions (GGA-PBE) and Cu Kα, 1.54184 Å.

Peak list (6 most intense, 2θ from 10° to 90°, in order of rising 2θ)
23.27°, 3.823 Å, intensity 100, (1 0 0)
28.90°, 3.090 Å, intensity 56, (1 0 1)
33.14°, 2.703 Å, intensity 76, (1 1 0)
34.18°, 2.623 Å, intensity 100, (0 0 2)
47.57°, 1.911 Å, intensity 69, (2 0 0)
59.87°, 1.545 Å, intensity 63, (2 0 2)

Structure:
```
data_MgTiSN2
_cell_length_a 3.8229
_cell_length_b 3.8229
_cell_length_c 5.2466
_cell_angle_alpha 90.00
_cell_angle_beta 90.00
_cell_angle_gamma 90.00
_symmetry_space_group_name_H-M 'P 4/m m m'
_symmetry_Int_Tables_number 123
_symmetry_space_group_name_Hall '-P 4 2'
loop_
_atom_site_label
_atom_site_type_symbol
_atom_site_fract_x
_atom_site_fract_y
_atom_site_fract_z
_atom_site_occupancy
Mg1 Mg 0.0000 0.0000 0.0000 1
Ti1 Ti 0.5000 0.5000 0.5000 1
S1 S 0.5000 0.5000 0.0000 1
N1 N 0.0000 0.5000 0.5000 1
```

---

Diffraction record for Sm3Ho8Th3. The powder X-ray diffraction pattern is calculated, not measured: it uses DFT lattice parameters and positions (GGA-PBE) and Cu Kα, 1.54184 Å.

Peak list (6 most intense, 2θ from 10° to 90°, in order of rising 2θ)
29.12°, 3.067 Å, intensity 21, (1 2 3)
29.80°, 2.998 Å, intensity 30, (1 1 4)
30.79°, 2.904 Å, intensity 24, (0 3 3)
31.74°, 2.820 Å, intensity 50, (2 0 0)
31.99°, 2.797 Å, intensity 100, (1 3 2)
33.84°, 2.649 Å, intensity 44, (1 0 5)

Structure:
```
data_Sm3Ho8Th3
_cell_length_a 5.6391
_cell_length_b 10.7029
_cell_length_c 15.0038
_cell_angle_alpha 90.00
_cell_angle_beta 90.00
_cell_angle_gamma 90.00
_symmetry_space_group_name_H-M 'I m m m'
_symmetry_Int_Tables_number 71
_symmetry_space_group_name_Hall '-I 2 2'
loop_
_atom_site_label
_atom_site_type_symbol
_atom_site_fract_x
_atom_site_fract_y
_atom_site_fract_z
_atom_site_occupancy
Sm1 Sm 0.0000 0.0000 0.0000 1
Sm2 Sm 0.0000 0.3078 0.0000 1
Ho1 Ho 0.0000 0.1582 0.2242 1
Ho2 Ho 0.0000 0.3404 0.3964 1
Th1 Th 0.0000 0.0000 0.5000 1
Th2 Th 0.0000 0.5000 0.1857 1
```

---

Diffraction record for YMg14B. The powder X-ray diffraction pattern is calculated, not measured: it uses DFT lattice parameters and positions (GGA-PBE) and Cu Kα, 1.54184 Å.

Peak list (6 most intense, 2θ from 10° to 90°, in order of rising 2θ)
31.02°, 2.883 Å, intensity 35, (3 1 1)
33.54°, 2.672 Å, intensity 59, (0 2 2)
34.95°, 2.567 Å, intensity 42, (4 0 0)
35.46°, 2.531 Å, intensity 89, (2 0 4)
37.96°, 2.370 Å, intensity 100, (2 2 2)
49.22°, 1.851 Å, intensity 24, (4 2 2)

Structure:
```
data_YMg14B
_cell_length_a 10.2689
_cell_length_b 6.0150
_cell_length_c 11.6381
_cell_angle_alpha 90.00
_cell_angle_beta 90.00
_cell_angle_gamma 90.00
_symmetry_space_group_name_H-M 'A m m 2'
_symmetry_Int_Tables_number 38
_symmetry_space_group_name_Hall 'A 2 -2'
loop_
_atom_site_label
_atom_site_type_symbol
_atom_site_fract_x
_atom_site_fract_y
_atom_site_fract_z
_atom_site_occupancy
Y1 Y 0.0000 0.0000 0.0000 1
Mg1 Mg 0.0000 0.2328 0.2623 1
Mg2 Mg 0.1628 0.0000 0.5985 1
Mg3 Mg 0.2518 0.2488 0.8857 1
Mg4 Mg 0.2576 0.0000 0.1426 1
Mg5 Mg 0.5000 0.0000 0.4906 1
Mg6 Mg 0.5000 0.0000 0.9789 1
Mg7 Mg 0.5000 0.2461 0.7311 1
B1 B 0.0000 0.0000 0.4370 1
```

---

Diffraction record for CaSm12Er5. The powder X-ray diffraction pattern is calculated, not measured: it uses DFT lattice parameters and positions (GGA-PBE) and Cu Kα, 1.54184 Å.

Peak list (6 most intense, 2θ from 10° to 90°, in order of rising 2θ)
30.35°, 2.945 Å, intensity 100, (3 3 1)
35.12°, 2.555 Å, intensity 34, (0 0 2)
35.30°, 2.542 Å, intensity 17, (6 0 0)
50.65°, 1.802 Å, intensity 24, (6 0 2)
60.08°, 1.540 Å, intensity 29, (3 3 3)
60.32°, 1.534 Å, intensity 14, (9 3 1)

Structure:
```
data_CaSm12Er5
_cell_length_a 15.2544
_cell_length_b 15.3372
_cell_length_c 5.1077
_cell_angle_alpha 90.00
_cell_angle_beta 90.00
_cell_angle_gamma 90.00
_symmetry_space_group_name_H-M 'C m m m'
_symmetry_Int_Tables_number 65
_symmetry_space_group_name_Hall '-C 2 2'
loop_
_atom_site_label
_atom_site_type_symbol
_atom_site_fract_x
_atom_site_fract_y
_atom_site_fract_z
_atom_site_occupancy
Ca1 Ca 0.0000 0.0000 0.0000 1
Sm1 Sm 0.1653 0.3335 0.5000 1
Sm2 Sm 0.1659 0.5000 0.0000 1
Sm3 Sm 0.1677 0.1695 0.0000 1
Sm4 Sm 0.1715 0.0000 0.5000 1
Er1 Er 0.0000 0.1727 0.5000 1
Er2 Er 0.0000 0.3338 0.0000 1
Er3 Er 0.0000 0.5000 0.5000 1
```